This entry pairs a crystal structure of U2InPd2 with its calculated XRD peak list. Radiation: a wavelength of 1.5418 Å. Structure: the PBE geometry in the Materials Project.
Kinematic intensities with the Lorentz-polarization factor, no thermal factor.

Most intense lines, 5° ≤ 2θ ≤ 70°, low angle first:
hkl  d/Å  Position (°2θ)  intensity
2 1 0  3.423  26.03  13.1
2 2 0  2.706  33.10  8.2
2 0 1  2.697  33.22  29.9
2 1 1  2.543  35.29  100.0
3 1 0  2.421  37.14  35.8
0 0 2  1.900  47.88  13.6
4 1 0  1.856  49.08  11.4
3 3 0  1.804  50.59  8.3
4 1 1  1.668  55.05  18.5
3 3 1  1.630  56.46  10.4
3 1 2  1.495  62.11  16.0
5 1 1  1.396  67.03  7.1

Cell and atoms:
```
data_U2InPd2
_chemical_formula_sum 'U4 In2 Pd4'
_cell_length_a 7.6548
_cell_length_b 7.6548
_cell_length_c 3.7996
_cell_angle_alpha 90.00
_cell_angle_beta 90.00
_cell_angle_gamma 90.00
_symmetry_space_group_name_H-M 'P 4/m b m'
_symmetry_Int_Tables_number 127
_symmetry_space_group_name_Hall '-P 4 2ab'
loop_
_atom_site_label
_atom_site_fract_x
_atom_site_fract_y
_atom_site_fract_z
U1 0.1718 0.3282 0.0000
In1 0.0000 0.0000 0.5000
Pd1 0.1314 0.6314 0.5000
```


This entry pairs a crystal structure of Y2InPd2 with its calculated XRD peak list. Radiation: a wavelength of 1.5418 Å. Structure: the PBE geometry in the Materials Project.
Kinematic intensities with the Lorentz-polarization factor, no thermal factor.

Most intense lines, 5° ≤ 2θ ≤ 70°, low angle first:
hkl  d/Å  Position (°2θ)  intensity
0 0 1  3.714  23.96  9.6
2 2 0  2.753  32.52  11.7
2 0 1  2.688  33.34  33.1
2 1 1  2.541  35.33  100.0
3 1 0  2.463  36.49  53.8
3 2 0  2.160  41.82  10.4
3 1 1  2.052  44.12  13.3
3 2 1  1.867  48.77  8.3
0 0 2  1.857  49.05  15.5
3 1 2  1.483  62.65  21.3
5 1 1  1.413  66.16  14.0
5 2 1  1.348  69.79  11.8

Cell and atoms:
```
data_Y2InPd2
_chemical_formula_sum 'Y4 In2 Pd4'
_cell_length_a 7.7876
_cell_length_b 7.7876
_cell_length_c 3.7142
_cell_angle_alpha 90.00
_cell_angle_beta 90.00
_cell_angle_gamma 90.00
_symmetry_space_group_name_H-M 'P 4/m b m'
_symmetry_Int_Tables_number 127
_symmetry_space_group_name_Hall '-P 4 2ab'
loop_
_atom_site_label
_atom_site_fract_x
_atom_site_fract_y
_atom_site_fract_z
Y1 0.1728 0.3272 0.0000
In1 0.0000 0.0000 0.5000
Pd1 0.1265 0.6265 0.5000
```


This entry pairs a crystal structure of ZnInPd2 with its calculated XRD peak list. Radiation: a wavelength of 1.5418 Å. Structure: the PBE geometry in the Materials Project.
Kinematic intensities with the Lorentz-polarization factor, no thermal factor.

Most intense lines, 5° ≤ 2θ ≤ 70°, low angle first:
hkl  d/Å  Position (°2θ)  intensity
1 1 1  3.692  24.10  3.1
2 0 0  3.197  27.90  0.7
2 2 0  2.261  39.87  100.0
3 1 1  1.928  47.14  1.5
4 0 0  1.599  57.66  16.5
3 3 1  1.467  63.40  0.6

Cell and atoms:
```
data_ZnInPd2
_chemical_formula_sum 'Zn4 In4 Pd8'
_cell_length_a 6.3948
_cell_length_b 6.3948
_cell_length_c 6.3948
_cell_angle_alpha 90.00
_cell_angle_beta 90.00
_cell_angle_gamma 90.00
_symmetry_space_group_name_H-M 'F m -3 m'
_symmetry_Int_Tables_number 225
_symmetry_space_group_name_Hall '-F 4 2 3'
loop_
_atom_site_label
_atom_site_fract_x
_atom_site_fract_y
_atom_site_fract_z
Zn1 0.0000 0.0000 0.0000
In1 0.0000 0.0000 0.5000
Pd1 0.2500 0.2500 0.2500
```


This entry pairs a crystal structure of ZrInPd2 with its calculated XRD peak list. Radiation: a wavelength of 1.5418 Å. Structure: the PBE geometry in the Materials Project.
Kinematic intensities with the Lorentz-polarization factor, no thermal factor.

Most intense lines, 5° ≤ 2θ ≤ 70°, low angle first:
hkl  d/Å  Position (°2θ)  intensity
1 0 1  3.021  29.57  2.3
1 1 0  2.414  37.24  55.2
1 0 2  2.350  38.30  100.0
0 0 3  2.160  41.83  0.8
2 0 0  1.707  53.69  18.7
0 0 4  1.620  56.85  7.3
1 1 3  1.610  57.23  1.3
2 1 1  1.486  62.49  0.5
2 1 2  1.381  67.86  35.6
1 1 4  1.345  69.94  15.3

Cell and atoms:
```
data_ZrInPd2
_chemical_formula_sum 'Zr1 In1 Pd2'
_cell_length_a 3.4144
_cell_length_b 3.4144
_cell_length_c 6.4787
_cell_angle_alpha 90.00
_cell_angle_beta 90.00
_cell_angle_gamma 90.00
_symmetry_space_group_name_H-M 'P 4/m m m'
_symmetry_Int_Tables_number 123
_symmetry_space_group_name_Hall '-P 4 2'
loop_
_atom_site_label
_atom_site_fract_x
_atom_site_fract_y
_atom_site_fract_z
Zr1 0.0000 0.0000 0.0000
In1 0.0000 0.0000 0.5000
Pd1 0.5000 0.5000 0.2343
```


This entry pairs a crystal structure of PmInRh2 with its calculated XRD peak list. Radiation: a wavelength of 1.5418 Å. Structure: the PBE geometry in the Materials Project.
Kinematic intensities with the Lorentz-polarization factor, no thermal factor.

Most intense lines, 5° ≤ 2θ ≤ 70°, low angle first:
hkl  d/Å  Position (°2θ)  intensity
1 1 1  3.904  22.78  1.0
2 0 0  3.381  26.36  1.5
2 2 0  2.391  37.62  100.0
3 1 1  2.039  44.43  0.5
4 0 0  1.691  54.26  17.1
4 2 0  1.512  61.30  0.6
4 2 2  1.380  67.90  34.3

Cell and atoms:
```
data_PmInRh2
_chemical_formula_sum 'Pm4 In4 Rh8'
_cell_length_a 6.7627
_cell_length_b 6.7627
_cell_length_c 6.7627
_cell_angle_alpha 90.00
_cell_angle_beta 90.00
_cell_angle_gamma 90.00
_symmetry_space_group_name_H-M 'F m -3 m'
_symmetry_Int_Tables_number 225
_symmetry_space_group_name_Hall '-F 4 2 3'
loop_
_atom_site_label
_atom_site_fract_x
_atom_site_fract_y
_atom_site_fract_z
Pm1 0.0000 0.0000 0.0000
In1 0.0000 0.0000 0.5000
Rh1 0.2500 0.2500 0.2500
```


This entry pairs a crystal structure of PmSmIn2 with its calculated XRD peak list. Radiation: a wavelength of 1.5418 Å. Structure: the PBE geometry in the Materials Project.
Kinematic intensities with the Lorentz-polarization factor, no thermal factor.

Most intense lines, 5° ≤ 2θ ≤ 70°, low angle first:
hkl  d/Å  Position (°2θ)  intensity
2 0 0  3.854  23.08  1.7
2 2 0  2.725  32.87  100.0
2 2 2  2.225  40.54  0.5
4 0 0  1.927  47.17  18.1
4 2 0  1.723  53.14  0.8
4 2 2  1.573  58.68  37.3
4 4 0  1.363  68.92  11.4

Cell and atoms:
```
data_PmSmIn2
_chemical_formula_sum 'Pm4 Sm4 In8'
_cell_length_a 7.7075
_cell_length_b 7.7075
_cell_length_c 7.7075
_cell_angle_alpha 90.00
_cell_angle_beta 90.00
_cell_angle_gamma 90.00
_symmetry_space_group_name_H-M 'F m -3 m'
_symmetry_Int_Tables_number 225
_symmetry_space_group_name_Hall '-F 4 2 3'
loop_
_atom_site_label
_atom_site_fract_x
_atom_site_fract_y
_atom_site_fract_z
Pm1 0.0000 0.0000 0.0000
Sm1 0.0000 0.0000 0.5000
In1 0.2500 0.2500 0.2500
```


This entry pairs a crystal structure of Pm2InSn with its calculated XRD peak list. Radiation: a wavelength of 1.5418 Å. Structure: the PBE geometry in the Materials Project.
Kinematic intensities with the Lorentz-polarization factor, no thermal factor.

Most intense lines, 5° ≤ 2θ ≤ 70°, low angle first:
hkl  d/Å  Position (°2θ)  intensity
2 0 0  3.859  23.05  1.4
2 2 0  2.729  32.82  100.0
4 0 0  1.930  47.10  18.3
4 2 0  1.726  53.06  0.6
4 2 2  1.576  58.59  38.1
4 4 0  1.364  68.80  11.8

Cell and atoms:
```
data_Pm2InSn
_chemical_formula_sum 'Pm8 In4 Sn4'
_cell_length_a 7.7185
_cell_length_b 7.7185
_cell_length_c 7.7185
_cell_angle_alpha 90.00
_cell_angle_beta 90.00
_cell_angle_gamma 90.00
_symmetry_space_group_name_H-M 'F m -3 m'
_symmetry_Int_Tables_number 225
_symmetry_space_group_name_Hall '-F 4 2 3'
loop_
_atom_site_label
_atom_site_fract_x
_atom_site_fract_y
_atom_site_fract_z
Pm1 0.2500 0.2500 0.2500
In1 0.0000 0.0000 0.0000
Sn1 0.0000 0.0000 0.5000
```


This entry pairs a crystal structure of PmYIn2 with its calculated XRD peak list. Radiation: a wavelength of 1.5418 Å. Structure: the PBE geometry in the Materials Project.
Kinematic intensities with the Lorentz-polarization factor, no thermal factor.

Most intense lines, 5° ≤ 2θ ≤ 70°, low angle first:
hkl  d/Å  Position (°2θ)  intensity
1 1 1  4.408  20.15  3.1
2 2 0  2.699  33.19  100.0
3 1 1  2.302  39.13  1.8
4 0 0  1.909  47.64  17.9
3 3 1  1.752  52.23  0.8
4 2 2  1.558  59.30  36.6
5 1 1  1.469  63.29  0.6
4 4 0  1.350  69.67  11.2

Cell and atoms:
```
data_PmYIn2
_chemical_formula_sum 'Pm4 Y4 In8'
_cell_length_a 7.6347
_cell_length_b 7.6347
_cell_length_c 7.6347
_cell_angle_alpha 90.00
_cell_angle_beta 90.00
_cell_angle_gamma 90.00
_symmetry_space_group_name_H-M 'F m -3 m'
_symmetry_Int_Tables_number 225
_symmetry_space_group_name_Hall '-F 4 2 3'
loop_
_atom_site_label
_atom_site_fract_x
_atom_site_fract_y
_atom_site_fract_z
Pm1 0.0000 0.0000 0.0000
Y1 0.0000 0.0000 0.5000
In1 0.2500 0.2500 0.2500
```


This entry pairs a crystal structure of Pm2ZnIn with its calculated XRD peak list. Radiation: a wavelength of 1.5418 Å. Structure: the PBE geometry in the Materials Project.
Kinematic intensities with the Lorentz-polarization factor, no thermal factor.

Most intense lines, 5° ≤ 2θ ≤ 70°, low angle first:
hkl  d/Å  Position (°2θ)  intensity
1 1 1  4.364  20.35  2.1
2 0 0  3.779  23.54  5.8
2 2 0  2.672  33.54  100.0
3 1 1  2.279  39.54  1.1
2 2 2  2.182  41.38  1.8
4 0 0  1.890  48.16  17.9
4 2 0  1.690  54.28  2.6
4 2 2  1.543  59.96  36.8

Cell and atoms:
```
data_Pm2ZnIn
_chemical_formula_sum 'Pm8 Zn4 In4'
_cell_length_a 7.5583
_cell_length_b 7.5583
_cell_length_c 7.5583
_cell_angle_alpha 90.00
_cell_angle_beta 90.00
_cell_angle_gamma 90.00
_symmetry_space_group_name_H-M 'F m -3 m'
_symmetry_Int_Tables_number 225
_symmetry_space_group_name_Hall '-F 4 2 3'
loop_
_atom_site_label
_atom_site_fract_x
_atom_site_fract_y
_atom_site_fract_z
Pm1 0.2500 0.2500 0.2500
Zn1 0.0000 0.0000 0.0000
In1 0.0000 0.0000 0.5000
```


This entry pairs a crystal structure of PrIn3 with its calculated XRD peak list. Radiation: a wavelength of 1.5418 Å. Structure: the PBE geometry in the Materials Project.
Kinematic intensities with the Lorentz-polarization factor, no thermal factor.

Most intense lines, 5° ≤ 2θ ≤ 70°, low angle first:
hkl  d/Å  Position (°2θ)  intensity
1 0 0  4.750  18.68  0.7
1 1 0  3.358  26.54  0.6
1 1 1  2.742  32.66  100.0
2 0 0  2.375  37.89  49.9
2 2 0  1.679  54.66  33.7
3 1 1  1.432  65.14  39.2
2 2 2  1.371  68.43  11.3

Cell and atoms:
```
data_PrIn3
_chemical_formula_sum 'Pr1 In3'
_cell_length_a 4.7496
_cell_length_b 4.7496
_cell_length_c 4.7496
_cell_angle_alpha 90.00
_cell_angle_beta 90.00
_cell_angle_gamma 90.00
_symmetry_space_group_name_H-M 'P m -3 m'
_symmetry_Int_Tables_number 221
_symmetry_space_group_name_Hall '-P 4 2 3'
loop_
_atom_site_label
_atom_site_fract_x
_atom_site_fract_y
_atom_site_fract_z
Pr1 0.0000 0.0000 0.0000
In1 0.0000 0.5000 0.5000
```


This entry pairs a crystal structure of Pr3In with its calculated XRD peak list. Radiation: a wavelength of 1.5418 Å. Structure: the PBE geometry in the Materials Project.
Kinematic intensities with the Lorentz-polarization factor, no thermal factor.

Most intense lines, 5° ≤ 2θ ≤ 70°, low angle first:
hkl  d/Å  Position (°2θ)  intensity
1 0 1  4.205  21.13  2.0
2 0 0  3.141  28.42  23.9
0 0 2  2.831  31.61  24.7
2 0 1  2.746  32.60  100.0
2 0 2  2.103  43.02  15.5
2 2 0  1.813  50.32  18.7
2 0 3  1.618  56.93  20.2
4 0 0  1.570  58.80  2.8
2 2 2  1.527  60.65  21.2
4 0 1  1.513  61.26  15.2
0 0 4  1.415  66.01  2.9
4 0 2  1.373  68.31  3.6

Cell and atoms:
```
data_Pr3In
_chemical_formula_sum 'Pr6 In2'
_cell_length_a 7.2531
_cell_length_b 7.2531
_cell_length_c 5.6611
_cell_angle_alpha 90.00
_cell_angle_beta 90.00
_cell_angle_gamma 120.00
_symmetry_space_group_name_H-M 'P 63/m m c'
_symmetry_Int_Tables_number 194
_symmetry_space_group_name_Hall '-P 6c 2c'
loop_
_atom_site_label
_atom_site_fract_x
_atom_site_fract_y
_atom_site_fract_z
Pr1 0.1760 0.3520 0.2500
In1 0.3333 0.6667 0.7500
```


This entry pairs a crystal structure of Pr3In with its calculated XRD peak list. Radiation: a wavelength of 1.5418 Å. Structure: the PBE geometry in the Materials Project.
Kinematic intensities with the Lorentz-polarization factor, no thermal factor.

Most intense lines, 5° ≤ 2θ ≤ 70°, low angle first:
hkl  d/Å  Position (°2θ)  intensity
1 0 0  5.032  17.63  0.6
1 1 0  3.558  25.03  0.5
1 1 1  2.905  30.78  100.0
2 0 0  2.516  35.69  50.5
2 2 0  1.779  51.36  35.5
3 1 1  1.517  61.08  41.9
2 2 2  1.453  64.11  12.0

Cell and atoms:
```
data_Pr3In
_chemical_formula_sum 'Pr3 In1'
_cell_length_a 5.0319
_cell_length_b 5.0319
_cell_length_c 5.0319
_cell_angle_alpha 90.00
_cell_angle_beta 90.00
_cell_angle_gamma 90.00
_symmetry_space_group_name_H-M 'P m -3 m'
_symmetry_Int_Tables_number 221
_symmetry_space_group_name_Hall '-P 4 2 3'
loop_
_atom_site_label
_atom_site_fract_x
_atom_site_fract_y
_atom_site_fract_z
Pr1 0.0000 0.0000 0.5000
In1 0.5000 0.5000 0.5000
```


Copy entry 2 word for word.
This entry pairs a crystal structure of Y2InPd2 with its calculated XRD peak list. Radiation: a wavelength of 1.5418 Å. Structure: the PBE geometry in the Materials Project.
Kinematic intensities with the Lorentz-polarization factor, no thermal factor.

Most intense lines, 5° ≤ 2θ ≤ 70°, low angle first:
hkl  d/Å  Position (°2θ)  intensity
0 0 1  3.714  23.96  9.6
2 2 0  2.753  32.52  11.7
2 0 1  2.688  33.34  33.1
2 1 1  2.541  35.33  100.0
3 1 0  2.463  36.49  53.8
3 2 0  2.160  41.82  10.4
3 1 1  2.052  44.12  13.3
3 2 1  1.867  48.77  8.3
0 0 2  1.857  49.05  15.5
3 1 2  1.483  62.65  21.3
5 1 1  1.413  66.16  14.0
5 2 1  1.348  69.79  11.8

Cell and atoms:
```
data_Y2InPd2
_chemical_formula_sum 'Y4 In2 Pd4'
_cell_length_a 7.7876
_cell_length_b 7.7876
_cell_length_c 3.7142
_cell_angle_alpha 90.00
_cell_angle_beta 90.00
_cell_angle_gamma 90.00
_symmetry_space_group_name_H-M 'P 4/m b m'
_symmetry_Int_Tables_number 127
_symmetry_space_group_name_Hall '-P 4 2ab'
loop_
_atom_site_label
_atom_site_fract_x
_atom_site_fract_y
_atom_site_fract_z
Y1 0.1728 0.3272 0.0000
In1 0.0000 0.0000 0.5000
Pd1 0.1265 0.6265 0.5000
```


What is the formula in the first record? U2InPd2


Number 10 is which compound? PrIn3